1.
The following is a computed XRD peak list of CaTiCrN2. It was derived from a PBE-relaxed structure, using λ = 1.5418 Å (Cu Kα).
Peak positions follow from Bragg's law for the DFT cell and can differ from measured ones.

Top 10 peaks for 2θ = 5–70°, by intensity:
| index | 2θ/deg | I_rel |
| --- | --- | --- |
| 0 0 2 | 32.33 | 100.0 |
| 1 1 0 | 31.31 | 99.7 |
| 1 0 1 | 27.32 | 75.4 |
| 2 0 0 | 44.87 | 72.1 |
| 1 1 2 | 45.62 | 67.6 |
| 2 0 2 | 56.37 | 66.3 |
| 1 1 1 | 35.35 | 60.6 |
| 1 0 0 | 22.00 | 24.9 |
| 2 1 1 | 53.33 | 20.1 |
| 2 2 0 | 65.32 | 20.0 |

Structure:
```
data_CaTiCrN2
_chemical_formula_sum 'Ca1 Ti1 Cr1 N2'
_cell_length_a 4.041
_cell_length_b 4.041
_cell_length_c 5.538
_cell_angle_alpha 90.00
_cell_angle_beta 90.00
_cell_angle_gamma 90.00
_space_group_name_H-M_alt 'P 4/m m m'
_space_group_IT_number 123
_space_group_name_Hall '-P 4 2'
loop_
_atom_site_label
_atom_site_type_symbol
_atom_site_fract_x
_atom_site_fract_y
_atom_site_fract_z
Ca1 Ca 0.000 0.000 0.000
Ti1 Ti 0.000 0.000 0.500
Cr1 Cr 0.500 0.500 0.000
N1 N 0.000 0.500 0.500
```

=====

2.
The following is a computed XRD peak list of Na2BHO3. It was derived from a PBE-relaxed structure, using λ = 1.5418 Å (Cu Kα).
Peak positions follow from Bragg's law for the DFT cell and can differ from measured ones.

Top 10 peaks for 2θ = 5–70°, by intensity:
| index | 2θ/deg | I_rel |
| --- | --- | --- |
| 2 1 0 | 32.62 | 100.0 |
| 3 1 2 | 44.33 | 49.9 |
| 0 1 1 | 26.67 | 40.1 |
| 3 1 1 | 41.30 | 36.9 |
| 0 2 0 | 51.52 | 33.2 |
| 0 1 3 | 37.08 | 28.6 |
| 3 0 3 | 41.42 | 19.6 |
| 2 0 3 | 34.01 | 19.4 |
| 1 0 4 | 37.58 | 16.9 |
| 0 0 4 | 36.06 | 15.3 |

Structure:
```
data_Na2BHO3
_chemical_formula_sum 'Na8 B4 H4 O12'
_cell_length_a 8.670
_cell_length_b 3.548
_cell_length_c 9.962
_cell_angle_alpha 90.00
_cell_angle_beta 90.00
_cell_angle_gamma 90.00
_space_group_name_H-M_alt 'P n m a'
_space_group_IT_number 62
loop_
_space_group_symop_operation_xyz
'x,y,z'
'-x,-y,-z'
'-x+1/2,-y,z+1/2'
'x+1/2,y,-z+1/2'
'x+1/2,-y+1/2,-z+1/2'
'-x+1/2,y+1/2,z+1/2'
'-x,y+1/2,-z'
'x,-y+1/2,z'
loop_
_atom_site_label
_atom_site_type_symbol
_atom_site_fract_x
_atom_site_fract_y
_atom_site_fract_z
Na1 Na 0.073 0.250 0.104
Na2 Na 0.173 0.250 0.446
B1 B 0.135 0.250 0.742
H1 H 0.100 0.750 0.269
O1 O 0.007 0.750 0.335
O2 O 0.128 0.250 0.879
O3 O 0.231 0.750 0.168
```

=====

3.
The following is a computed XRD peak list of LiIn3I4. It was derived from a PBE-relaxed structure, using λ = 1.5418 Å (Cu Kα).
Peak positions follow from Bragg's law for the DFT cell and can differ from measured ones.

Top 10 peaks for 2θ = 5–70°, by intensity:
| index | 2θ/deg | I_rel |
| --- | --- | --- |
| 2 3 0 | 27.58 | 100.0 |
| 0 1 3 | 26.87 | 69.8 |
| 1 1 3 | 28.19 | 66.4 |
| 0 6 0 | 44.34 | 66.2 |
| 1 3 1 | 24.89 | 59.8 |
| 1 2 3 | 30.95 | 56.0 |
| 2 2 1 | 23.82 | 54.2 |
| 3 1 1 | 27.69 | 38.8 |
| 2 3 1 | 28.92 | 31.8 |
| 0 4 0 | 29.12 | 31.1 |

Structure:
```
data_LiIn3I4
_chemical_formula_sum 'Li4 In12 I16'
_cell_length_a 10.584
_cell_length_b 12.259
_cell_length_c 10.339
_cell_angle_alpha 90.00
_cell_angle_beta 90.00
_cell_angle_gamma 90.00
_space_group_name_H-M_alt 'P n m a'
_space_group_IT_number 62
loop_
_space_group_symop_operation_xyz
'x,y,z'
'-x,-y,-z'
'-x+1/2,-y,z+1/2'
'x+1/2,y,-z+1/2'
'x+1/2,-y+1/2,-z+1/2'
'-x+1/2,y+1/2,z+1/2'
'-x,y+1/2,-z'
'x,-y+1/2,z'
loop_
_atom_site_label
_atom_site_type_symbol
_atom_site_fract_x
_atom_site_fract_y
_atom_site_fract_z
Li1 Li 0.178 0.250 0.019
In1 In 0.042 0.250 0.615
In2 In 0.109 0.572 0.811
I1 I 0.063 0.750 0.072
I2 I 0.154 0.250 0.287
I3 I 0.175 0.571 0.470
```

=====

4.
The following is a computed XRD peak list of K2Ga9Pt3. It was derived from a PBE-relaxed structure, using λ = 1.5418 Å (Cu Kα).
Peak positions follow from Bragg's law for the DFT cell and can differ from measured ones.

Top 10 peaks for 2θ = 5–70°, by intensity:
| index | 2θ/deg | I_rel |
| --- | --- | --- |
| 0 0 2 | 17.79 | 100.0 |
| 3 3 -1 | 40.28 | 92.6 |
| 0 2 0 | 22.91 | 87.8 |
| 6 0 0 | 44.31 | 64.4 |
| 0 2 4 | 43.19 | 59.8 |
| 3 1 1 | 29.20 | 54.7 |
| 6 0 -2 | 40.14 | 46.6 |
| 3 3 1 | 44.40 | 42.7 |
| 0 0 4 | 36.03 | 37.2 |
| 3 1 -5 | 43.02 | 35.6 |

Structure:
```
data_K2Ga9Pt3
_chemical_formula_sum 'K8 Ga36 Pt12'
_cell_length_a 13.478
_cell_length_b 7.749
_cell_length_c 10.961
_cell_angle_alpha 90.00
_cell_angle_beta 114.54
_cell_angle_gamma 90.00
_space_group_name_H-M_alt 'C 1 2/c 1'
_space_group_IT_number 15
loop_
_space_group_symop_operation_xyz
'x,y,z'
'-x,-y,-z'
'-x,y,-z+1/2'
'x,-y,z+1/2'
'x+1/2,y+1/2,z'
'-x+1/2,-y+1/2,-z'
'-x+1/2,y+1/2,-z+1/2'
'x+1/2,-y+1/2,z+1/2'
loop_
_atom_site_label
_atom_site_type_symbol
_atom_site_fract_x
_atom_site_fract_y
_atom_site_fract_z
K1 K 0.168 0.084 0.249
Ga1 Ga 0.000 0.378 0.250
Ga2 Ga 0.059 0.084 0.926
Ga3 Ga 0.101 0.316 0.749
Ga4 Ga 0.103 0.416 0.061
Ga5 Ga 0.225 0.418 0.430
Pt1 Pt 0.084 0.249 0.500
Pt2 Pt 0.250 0.250 0.000
```

=====

5.
The following is a computed XRD peak list of CaMgCu17. It was derived from a PBE-relaxed structure, using λ = 1.5418 Å (Cu Kα).
Peak positions follow from Bragg's law for the DFT cell and can differ from measured ones.

Top 10 peaks for 2θ = 5–70°, by intensity:
| index | 2θ/deg | I_rel |
| --- | --- | --- |
| 2 2 3 | 48.13 | 100.0 |
| 3 0 3 | 42.82 | 87.9 |
| 2 2 0 | 42.61 | 52.6 |
| 0 0 6 | 43.45 | 34.8 |
| 1 1 6 | 48.70 | 32.7 |
| 1 1 0 | 20.94 | 31.6 |
| 1 0 1 | 13.98 | 29.5 |
| 3 0 0 | 36.68 | 25.3 |
| 0 2 4 | 37.80 | 21.0 |
| 2 0 5 | 43.81 | 18.4 |

Structure:
```
data_CaMgCu17
_chemical_formula_sum 'Ca3 Mg3 Cu51'
_cell_length_a 8.4863
_cell_length_b 8.4863
_cell_length_c 12.4966
_cell_angle_alpha 90.00
_cell_angle_beta 90.00
_cell_angle_gamma 120.00
_space_group_name_H-M_alt 'R 3 m'
_space_group_IT_number 160
_space_group_name_Hall 'R 3 -2"'
loop_
_atom_site_label
_atom_site_type_symbol
_atom_site_fract_x
_atom_site_fract_y
_atom_site_fract_z
Ca1 Ca 0.0000 0.0000 0.0000
Mg1 Mg 0.0000 0.0000 0.3177
Cu1 Cu 0.0000 0.0000 0.5571
Cu2 Cu 0.0000 0.0000 0.7523
Cu3 Cu 0.0355 0.3654 0.3248
Cu4 Cu 0.1678 0.3357 0.4926
Cu5 Cu 0.1690 0.3380 0.8373
Cu6 Cu 0.1699 0.3399 0.1451
```

=====

6.
The following is a computed XRD peak list of AcTb5Pr2Ho. It was derived from a PBE-relaxed structure, using λ = 1.5418 Å (Cu Kα).
Peak positions follow from Bragg's law for the DFT cell and can differ from measured ones.

Top 10 peaks for 2θ = 5–70°, by intensity:
| index | 2θ/deg | I_rel |
| --- | --- | --- |
| 2 0 4 | 30.32 | 100.0 |
| 2 2 0 | 28.45 | 50.1 |
| 2 1 3 | 28.17 | 40.4 |
| 4 2 4 | 51.57 | 22.6 |
| 4 0 2 | 42.36 | 20.2 |
| 3 1 0 | 31.90 | 15.7 |
| 2 2 8 | 55.00 | 14.6 |
| 3 2 1 | 36.97 | 14.1 |
| 0 0 8 | 46.02 | 12.8 |
| 2 1 5 | 36.38 | 11.7 |

Structure:
```
data_AcTb5Pr2Ho
_chemical_formula_sum 'Ac4 Tb20 Pr8 Ho4'
_cell_length_a 8.873
_cell_length_b 8.873
_cell_length_c 15.777
_cell_angle_alpha 90.00
_cell_angle_beta 90.00
_cell_angle_gamma 90.00
_space_group_name_H-M_alt 'I 4/m c m'
_space_group_IT_number 140
_space_group_name_Hall '-I 4 2c'
loop_
_atom_site_label
_atom_site_type_symbol
_atom_site_fract_x
_atom_site_fract_y
_atom_site_fract_z
Ac1 Ac 0.000 0.000 0.250
Tb1 Tb 0.000 0.000 0.000
Tb2 Tb 0.207 0.293 0.134
Pr1 Pr 0.118 0.382 0.500
Ho1 Ho 0.000 0.500 0.250
```

=====

7.
The following is a computed XRD peak list of Pr2Ta2S7. It was derived from a PBE-relaxed structure, using λ = 1.5418 Å (Cu Kα).
Peak positions follow from Bragg's law for the DFT cell and can differ from measured ones.

Top 10 peaks for 2θ = 5–70°, by intensity:
| index | 2θ/deg | I_rel |
| --- | --- | --- |
| 0 2 1 | 19.65 | 100.0 |
| 1 1 1 | 20.21 | 40.1 |
| 2 0 1 | 28.64 | 36.8 |
| 1 3 2 | 37.91 | 36.3 |
| 1 1 0 | 13.74 | 31.6 |
| 2 0 -1 | 25.42 | 27.9 |
| 3 1 -1 | 37.05 | 27.1 |
| 2 2 0 | 27.68 | 23.6 |
| 1 3 -1 | 27.40 | 18.9 |
| 1 3 -3 | 46.58 | 17.5 |

Structure:
```
data_Pr2Ta2S7
_chemical_formula_sum 'Pr4 Ta4 S14'
_cell_length_a 7.647
_cell_length_b 12.263
_cell_length_c 6.740
_cell_angle_alpha 90.00
_cell_angle_beta 97.72
_cell_angle_gamma 90.00
_space_group_name_H-M_alt 'C 1 2/m 1'
_space_group_IT_number 12
loop_
_space_group_symop_operation_xyz
'x,y,z'
'-x,-y,-z'
'-x,y,-z'
'x,-y,z'
'x+1/2,y+1/2,z'
'-x+1/2,-y+1/2,-z'
'-x+1/2,y+1/2,-z'
'x+1/2,-y+1/2,z'
loop_
_atom_site_label
_atom_site_type_symbol
_atom_site_fract_x
_atom_site_fract_y
_atom_site_fract_z
Pr1 Pr 0.000 0.184 0.000
Ta1 Ta 0.221 0.000 0.606
S1 S 0.000 0.500 0.500
S2 S 0.084 0.000 0.265
S3 S 0.220 0.328 0.238
```

=====

8.
The following is a computed XRD peak list of ScZn8Co4. It was derived from a PBE-relaxed structure, using λ = 1.5418 Å (Cu Kα).
Peak positions follow from Bragg's law for the DFT cell and can differ from measured ones.

Top 10 peaks for 2θ = 5–70°, by intensity:
| index | 2θ/deg | I_rel |
| --- | --- | --- |
| 2 2 2 | 47.28 | 100.0 |
| 3 2 1 | 42.34 | 77.4 |
| 4 0 0 | 42.49 | 68.8 |
| 2 0 2 | 41.92 | 52.7 |
| 3 0 1 | 36.41 | 39.1 |
| 4 2 0 | 47.79 | 35.6 |
| 4 1 1 | 47.66 | 27.9 |
| 0 0 2 | 35.93 | 20.1 |
| 2 0 0 | 20.87 | 18.6 |
| 3 2 3 | 68.99 | 16.5 |

Structure:
```
data_ScZn8Co4
_chemical_formula_sum 'Sc2 Zn16 Co8'
_cell_length_a 8.511
_cell_length_b 8.511
_cell_length_c 4.999
_cell_angle_alpha 90.00
_cell_angle_beta 90.00
_cell_angle_gamma 90.00
_space_group_name_H-M_alt 'I 4/m m m'
_space_group_IT_number 139
_space_group_name_Hall '-I 4 2'
loop_
_atom_site_label
_atom_site_type_symbol
_atom_site_fract_x
_atom_site_fract_y
_atom_site_fract_z
Sc1 Sc 0.000 0.000 0.000
Zn1 Zn 0.000 0.221 0.500
Zn2 Zn 0.000 0.333 0.000
Co1 Co 0.250 0.250 0.250
```